Simulated X-ray diffraction stick pattern of ReTcOsRu for copper Kα, from a GGA-PBE-relaxed structure.

```
4
Lattice="-1.9288 1.9288 3.8850 1.9288 -1.9288 3.8850 1.9288 1.9288 -3.8850" Properties=species:S:1:pos:R:3 pbc="T T T"
Re 0.0000 0.0000 0.0000
Tc 0.0000 1.9288 1.9425
Os 0.0000 0.0000 3.8850
Ru 1.9288 0.0000 1.9425
```

Main lines, in order of rising 2θ (10° ≤ 2θ ≤ 90°):
2θ (°)  Rel. int.
40.40  100
46.77  16
47.12  32
68.56  21
68.84  10
82.45  13
82.96  25
87.37  11